Cs2CoMoF6: simulated XRD peak list (Cu Kα), based on a cell relaxed with GGA+U.
Lines closer than 0.1° are merged.

Structural model:
a b c (Å): 7.0001 7.0001 7.0001
angles (deg): 130.04 130.04 73.34
Sites, in units of the cell vectors:
Cs 0.2500 0.7500 0.5000
Cs 0.7500 0.2500 0.5000
Co 0.0000 0.0000 0.0000
Mo 0.5000 0.5000 0.0000
F 0.2464 0.2464 0.4928
F 0.2464 0.7536 0.0000
F 0.3139 0.3139 0.0000
F 0.6861 0.6861 0.0000
F 0.7536 0.2464 0.0000
F 0.7536 0.7536 0.5072

Top 10 peaks for 15 to 90 degrees two-theta, by angle:
2θ/deg	I/Imax
26.58	100
30.23	34
31.88	25
34.28	14
43.28	24
44.51	19
51.52	32
53.66	18
54.75	20
71.31	21